Record 1
Structure and simulated powder diffractogram of Sb2ClO4 (a PBE-relaxed structure; λ = 1.5418 Å (Cu Kα)).

Largest 10 diffraction maxima, low angle first, 2θ from 10° to 80°:
11.33°, rel. 100
14.14°, rel. 70
15.68°, rel. 33
15.92°, rel. 34
21.60°, rel. 17
22.76°, rel. 22
28.53°, rel. 16
34.29°, rel. 18
35.67°, rel. 21
36.55°, rel. 15

Atomic structure:
Cell: 6.251 7.507 8.475 Å, 110.34 91.19 113.13°
Sites, in units of the cell vectors:
Sb  0.000  0.000  0.000
Sb  0.058  0.593  0.970
Sb  0.498  0.001  0.999
Sb  0.898  0.299  0.324
Cl  0.075  0.661  0.474
Cl  0.855  0.202  0.559
O  0.147  0.291  0.192
O  0.212  0.911  0.133
O  0.282  0.078  0.890
O  0.345  0.694  0.870
O  0.638  0.292  0.191
O  0.742  0.976  0.161
O  0.773  0.057  0.877
O  0.856  0.692  0.872

=====

Record 2
Structure and simulated powder diffractogram of KPm3I8 (a PBE-relaxed structure; λ = 1.5418 Å (Cu Kα)).

Largest 10 diffraction maxima, low angle first, 2θ from 10° to 80°:
10.19°, rel. 55
24.64°, rel. 16
27.39°, rel. 100
33.89°, rel. 20
36.51°, rel. 40
41.59°, rel. 41
45.26°, rel. 14
50.52°, rel. 18
60.30°, rel. 14
67.43°, rel. 15

Atomic structure:
Cell: 10.025 10.025 10.025 Å, 51.35 51.35 51.35°
Sites, in units of the cell vectors:
K  0.000  0.000  0.000
Pm  0.000  0.000  0.500
Pm  0.000  0.500  0.000
Pm  0.500  0.000  0.000
I  0.243  0.243  0.243
I  0.246  0.735  0.735
I  0.265  0.265  0.754
I  0.265  0.754  0.265
I  0.735  0.246  0.735
I  0.735  0.735  0.246
I  0.754  0.265  0.265
I  0.757  0.757  0.757

=====

Record 3
Structure and simulated powder diffractogram of Sc3Si6Ni20 (a PBE-relaxed structure; λ = 1.5418 Å (Cu Kα)).

Largest 10 diffraction maxima, low angle first, 2θ from 10° to 80°:
22.31°, rel. 9
35.62°, rel. 14
39.15°, rel. 14
41.63°, rel. 100
45.52°, rel. 32
47.73°, rel. 37
48.45°, rel. 16
53.95°, rel. 13
70.94°, rel. 18
72.63°, rel. 11

Atomic structure:
Cell: 7.971 7.971 7.971 Å, 60.00 60.00 60.00°
Sites, in units of the cell vectors:
Sc  0.000  0.000  0.000
Sc  0.250  0.250  0.250
Sc  0.750  0.750  0.750
Si  0.268  0.268  0.732
Si  0.268  0.732  0.268
Si  0.268  0.732  0.732
Si  0.732  0.268  0.268
Si  0.732  0.268  0.732
Si  0.732  0.732  0.268
Ni  0.000  0.000  0.351
Ni  0.000  0.000  0.649
Ni  0.000  0.351  0.000
Ni  0.000  0.351  0.649
Ni  0.000  0.649  0.000
Ni  0.000  0.649  0.351
Ni  0.144  0.619  0.619
Ni  0.351  0.000  0.000
Ni  0.351  0.000  0.649
Ni  0.351  0.649  0.000
Ni  0.381  0.381  0.381
Ni  0.381  0.381  0.856
Ni  0.381  0.856  0.381
Ni  0.619  0.144  0.619
Ni  0.619  0.619  0.144
Ni  0.619  0.619  0.619
Ni  0.649  0.000  0.000
Ni  0.649  0.000  0.351
Ni  0.649  0.351  0.000
Ni  0.856  0.381  0.381

=====

Record 4
Structure and simulated powder diffractogram of CeSm3Er6 (a PBE-relaxed structure; λ = 1.5418 Å (Cu Kα)).

Largest 10 diffraction maxima, low angle first, 2θ from 10° to 80°:
28.23°, rel. 27
28.73°, rel. 23
28.90°, rel. 77
30.45°, rel. 34
31.79°, rel. 79
32.05°, rel. 100
33.28°, rel. 25
34.66°, rel. 51
36.08°, rel. 20
40.80°, rel. 24

Atomic structure:
Cell: 10.882 10.882 6.178 Å, 90.00 90.00 119.35°
Sites, in units of the cell vectors:
Ce  0.207  0.793  0.500
Ce  0.793  0.207  0.000
Sm  0.060  0.284  0.702
Sm  0.284  0.060  0.202
Sm  0.389  0.611  0.585
Sm  0.611  0.389  0.085
Sm  0.716  0.940  0.702
Sm  0.940  0.716  0.202
Er  0.037  0.455  0.277
Er  0.049  0.951  0.739
Er  0.281  0.719  0.014
Er  0.290  0.382  0.118
Er  0.382  0.290  0.618
Er  0.455  0.037  0.777
Er  0.545  0.963  0.277
Er  0.618  0.710  0.118
Er  0.710  0.618  0.618
Er  0.719  0.281  0.514
Er  0.951  0.049  0.239
Er  0.963  0.545  0.777

=====

Record 5
Structure and simulated powder diffractogram of CrCu2 (a PBE-relaxed structure; λ = 1.5418 Å (Cu Kα)).

Largest 10 diffraction maxima, low angle first, 2θ from 10° to 80°:
15.60°, rel. 1
26.35°, rel. 1
27.89°, rel. 1
42.00°, rel. 100
46.94°, rel. 18
48.07°, rel. 16
51.58°, rel. 13
69.45°, rel. 10
72.29°, rel. 9
73.16°, rel. 8

Atomic structure:
Cell: 5.949 5.949 3.872 Å, 90.00 90.00 145.34°
Sites, in units of the cell vectors:
Cr  0.088  0.912  0.750
Cr  0.912  0.088  0.250
Cu  0.247  0.753  0.250
Cu  0.416  0.584  0.750
Cu  0.584  0.416  0.250
Cu  0.753  0.247  0.750

=====

Record 6
Structure and simulated powder diffractogram of Nd2MnFe3Si4 (a PBE-relaxed structure; λ = 1.5418 Å (Cu Kα)).

Largest 10 diffraction maxima, low angle first, 2θ from 10° to 80°:
24.00°, rel. 50
35.03°, rel. 62
35.84°, rel. 17
36.54°, rel. 100
45.45°, rel. 41
50.99°, rel. 17
58.64°, rel. 27
59.19°, rel. 15
64.87°, rel. 20
78.09°, rel. 20

Atomic structure:
Cell: 3.991 3.991 10.022 Å, 90.00 90.00 90.00°
Sites, in units of the cell vectors:
Nd  0.000  0.500  0.243
Nd  0.500  0.000  0.757
Mn  0.000  0.000  0.500
Fe  0.000  0.000  0.000
Fe  0.500  0.500  0.000
Fe  0.500  0.500  0.500
Si  0.000  0.500  0.625
Si  0.000  0.500  0.891
Si  0.500  0.000  0.109
Si  0.500  0.000  0.375

=====

Record 7
Structure and simulated powder diffractogram of Tm7TlIr2 (a PBE-relaxed structure; λ = 1.5418 Å (Cu Kα)).

Largest 10 diffraction maxima, low angle first, 2θ from 10° to 80°:
16.96°, rel. 85
20.34°, rel. 44
27.98°, rel. 55
31.40°, rel. 73
33.40°, rel. 95
34.30°, rel. 100
35.92°, rel. 77
36.69°, rel. 58
48.63°, rel. 67
51.10°, rel. 46

Atomic structure:
Cell: 8.081 8.081 5.229 Å, 90.00 90.00 114.58°
Sites, in units of the cell vectors:
Tm  0.000  0.000  0.000
Tm  0.182  0.444  0.000
Tm  0.211  0.789  0.500
Tm  0.444  0.182  0.000
Tm  0.556  0.818  0.000
Tm  0.789  0.211  0.500
Tm  0.818  0.556  0.000
Tl  0.500  0.500  0.500
Ir  0.203  0.797  0.000
Ir  0.797  0.203  0.000

=====

Record 8
Structure and simulated powder diffractogram of Y2Ir2Cl (a PBE-relaxed structure; λ = 1.5418 Å (Cu Kα)).

Largest 10 diffraction maxima, low angle first, 2θ from 10° to 80°:
11.00°, rel. 100
22.11°, rel. 9
28.23°, rel. 12
34.26°, rel. 37
39.52°, rel. 43
45.11°, rel. 9
46.38°, rel. 17
47.20°, rel. 19
47.82°, rel. 12
66.69°, rel. 11

Atomic structure:
Cell: 8.503 8.503 8.503 Å, 153.38 153.38 38.00°
Sites, in units of the cell vectors:
Y  0.130  0.130  0.000
Y  0.870  0.870  0.000
Ir  0.250  0.750  0.500
Ir  0.750  0.250  0.500
Cl  0.500  0.500  0.000

=====

Record 9
Structure and simulated powder diffractogram of Nd3Sn2Hg (a PBE-relaxed structure; λ = 1.5418 Å (Cu Kα)).

Largest 10 diffraction maxima, low angle first, 2θ from 10° to 80°:
27.76°, rel. 32
29.11°, rel. 29
30.44°, rel. 27
32.00°, rel. 100
34.82°, rel. 24
37.20°, rel. 15
38.00°, rel. 37
38.09°, rel. 16
43.13°, rel. 15
49.45°, rel. 14

Atomic structure:
Cell: 12.703 4.736 12.072 Å, 90.00 90.00 90.00°
Sites, in units of the cell vectors:
Nd  0.042  0.250  0.124
Nd  0.133  0.750  0.569
Nd  0.206  0.250  0.812
Nd  0.294  0.750  0.312
Nd  0.367  0.250  0.069
Nd  0.458  0.750  0.624
Nd  0.542  0.250  0.376
Nd  0.633  0.750  0.931
Nd  0.706  0.250  0.688
Nd  0.794  0.750  0.188
Nd  0.867  0.250  0.431
Nd  0.958  0.750  0.876
Sn  0.009  0.750  0.321
Sn  0.185  0.750  0.025
Sn  0.315  0.250  0.525
Sn  0.491  0.250  0.821
Sn  0.509  0.750  0.179
Sn  0.685  0.750  0.475
Sn  0.815  0.250  0.975
Sn  0.991  0.250  0.679
Hg  0.145  0.250  0.356
Hg  0.355  0.750  0.856
Hg  0.645  0.250  0.144
Hg  0.855  0.750  0.644

=====

Record 10
Structure and simulated powder diffractogram of SmTmGaRu (a PBE-relaxed structure; λ = 1.5418 Å (Cu Kα)).

Largest 10 diffraction maxima, low angle first, 2θ from 10° to 80°:
26.57°, rel. 22
31.89°, rel. 100
33.49°, rel. 21
33.88°, rel. 44
39.66°, rel. 25
40.00°, rel. 48
41.96°, rel. 27
46.03°, rel. 21
54.99°, rel. 22
64.03°, rel. 15

Atomic structure:
Cell: 4.306 5.703 5.703 Å, 40.45 90.00 90.00°
Sites, in units of the cell vectors:
Sm  0.000  0.000  0.000
Tm  0.500  0.286  0.286
Ga  0.500  0.584  0.584
Ru  0.000  0.721  0.721

=====

Record 11
Structure and simulated powder diffractogram of CoSbBr (a PBE-relaxed structure; λ = 1.5418 Å (Cu Kα)).

Largest 10 diffraction maxima, low angle first, 2θ from 10° to 80°:
13.39°, rel. 39
26.97°, rel. 24
29.04°, rel. 31
32.99°, rel. 51
34.92°, rel. 100
44.67°, rel. 57
46.72°, rel. 19
58.38°, rel. 19
60.17°, rel. 22
67.13°, rel. 16

Atomic structure:
Cell: 7.148 6.892 3.339 Å, 80.55 72.01 27.44°
Sites, in units of the cell vectors:
Co  0.000  0.000  0.000
Sb  0.624  0.624  0.376
Br  0.378  0.378  0.622

=====

Record 12
Structure and simulated powder diffractogram of Mn3Ni2C (a PBE-relaxed structure; λ = 1.5418 Å (Cu Kα)).

Largest 10 diffraction maxima, low angle first, 2θ from 10° to 80°:
19.74°, rel. 3
42.65°, rel. 100
45.08°, rel. 55
47.41°, rel. 25
53.95°, rel. 12
59.97°, rel. 2
61.90°, rel. 4
65.66°, rel. 5
76.36°, rel. 24
78.08°, rel. 5

Atomic structure:
Cell: 6.360 6.360 6.360 Å, 90.00 90.00 90.00°
Sites, in units of the cell vectors:
Mn  0.046  0.125  0.796
Mn  0.125  0.796  0.046
Mn  0.204  0.546  0.375
Mn  0.296  0.454  0.875
Mn  0.375  0.204  0.546
Mn  0.454  0.875  0.296
Mn  0.546  0.375  0.204
Mn  0.625  0.704  0.954
Mn  0.704  0.954  0.625
Mn  0.796  0.046  0.125
Mn  0.875  0.296  0.454
Mn  0.954  0.625  0.704
Ni  0.068  0.932  0.432
Ni  0.182  0.182  0.182
Ni  0.318  0.818  0.682
Ni  0.432  0.068  0.932
Ni  0.568  0.568  0.568
Ni  0.682  0.318  0.818
Ni  0.818  0.682  0.318
Ni  0.932  0.432  0.068
C  0.125  0.375  0.625
C  0.375  0.625  0.125
C  0.625  0.125  0.375
C  0.875  0.875  0.875

=====

Repeat the first record exactly.
Structure and simulated powder diffractogram of Sb2ClO4 (a PBE-relaxed structure; λ = 1.5418 Å (Cu Kα)).

Largest 10 diffraction maxima, low angle first, 2θ from 10° to 80°:
11.33°, rel. 100
14.14°, rel. 70
15.68°, rel. 33
15.92°, rel. 34
21.60°, rel. 17
22.76°, rel. 22
28.53°, rel. 16
34.29°, rel. 18
35.67°, rel. 21
36.55°, rel. 15

Atomic structure:
Cell: 6.251 7.507 8.475 Å, 110.34 91.19 113.13°
Sites, in units of the cell vectors:
Sb  0.000  0.000  0.000
Sb  0.058  0.593  0.970
Sb  0.498  0.001  0.999
Sb  0.898  0.299  0.324
Cl  0.075  0.661  0.474
Cl  0.855  0.202  0.559
O  0.147  0.291  0.192
O  0.212  0.911  0.133
O  0.282  0.078  0.890
O  0.345  0.694  0.870
O  0.638  0.292  0.191
O  0.742  0.976  0.161
O  0.773  0.057  0.877
O  0.856  0.692  0.872